The following is a calculated PXRD pattern of Pr2Nb2O5. It was derived from a PBE-relaxed structure, using Cu Ka.
Intensities are scaled so that the largest is 100.

Cell and atoms:
```
9
Lattice="4.103 0.000 0.000 0.000 4.103 0.000 0.000 0.000 7.119" Properties=species:S:1:pos:R:3 pbc="T T T"
Pr 0.000 0.000 0.000
Pr 0.000 0.000 3.559
Nb 2.052 2.052 1.403
Nb 2.052 2.052 5.716
O 0.000 2.052 1.734
O 0.000 2.052 5.385
O 2.052 0.000 1.734
O 2.052 0.000 5.385
O 2.052 2.052 3.559
```

Principal peaks in the range 15° ≤ 2θ ≤ 90°, in order of rising 2θ:
2θ = 30.82°, rel. 63; 2θ = 33.32°, rel. 100; 2θ = 40.09°, rel. 16; 2θ = 44.13°, rel. 47; 2θ = 51.36°, rel. 9; 2θ = 56.40°, rel. 50; 2θ = 61.08°, rel. 8; 2θ = 64.19°, rel. 17; 2θ = 69.98°, rel. 13; 2θ = 72.90°, rel. 11; 2θ = 74.26°, rel. 17; 2θ = 86.55°, rel. 8

The following is a calculated PXRD pattern of LaNiP2Ir. It was derived from a PBE-relaxed structure, using Cu Ka.
Intensities are scaled so that the largest is 100.

Cell and atoms:
```
10
Lattice="4.097 0.000 0.000 0.000 4.097 0.000 0.000 0.000 9.608" Properties=species:S:1:pos:R:3 pbc="T T T"
La 1.024 1.024 2.281
La 3.073 3.073 7.327
Ni 1.024 1.024 8.538
Ni 3.073 3.073 1.070
P 1.024 1.024 6.179
P 1.024 3.073 0.000
P 3.073 1.024 0.000
P 3.073 3.073 3.429
Ir 1.024 3.073 4.804
Ir 3.073 1.024 4.804
```

Principal peaks in the range 15° ≤ 2θ ≤ 90°, in order of rising 2θ:
2θ = 23.61°, rel. 12; 2θ = 27.86°, rel. 15; 2θ = 32.27°, rel. 44; 2θ = 35.58°, rel. 35; 2θ = 36.21°, rel. 100; 2θ = 37.44°, rel. 13; 2θ = 44.21°, rel. 47; 2θ = 57.99°, rel. 17; 2θ = 59.28°, rel. 14; 2θ = 64.31°, rel. 15; 2θ = 66.74°, rel. 21; 2θ = 76.09°, rel. 23

The following is a calculated PXRD pattern of HoAlCl6. It was derived from a PBE-relaxed structure, using Cu Ka.
Intensities are scaled so that the largest is 100.

Cell and atoms:
```
8
Lattice="3.213 -5.576 0.000 3.213 5.576 0.000 -2.156 0.000 6.013" Properties=species:S:1:pos:R:3 pbc="T T T"
Ho 0.000 0.000 0.000
Al 3.213 -1.874 0.000
Cl 0.914 2.039 1.388
Cl 0.078 -0.237 4.629
Cl 1.308 -1.833 1.364
Cl 3.357 2.039 4.625
Cl 4.193 -0.237 1.384
Cl 2.963 -1.833 4.649
```

Principal peaks in the range 15° ≤ 2θ ≤ 90°, in order of rising 2θ:
2θ = 15.89°, rel. 30; 2θ = 16.67°, rel. 55; 2θ = 18.71°, rel. 43; 2θ = 21.74°, rel. 31; 2θ = 25.44°, rel. 22; 2θ = 28.18°, rel. 36; 2θ = 29.47°, rel. 17; 2θ = 34.24°, rel. 100; 2θ = 43.25°, rel. 18; 2θ = 45.08°, rel. 19; 2θ = 49.06°, rel. 30; 2θ = 49.32°, rel. 21

The following is a calculated PXRD pattern of HfIrPd. It was derived from a PBE-relaxed structure, using Cu Ka.
Intensities are scaled so that the largest is 100.

Cell and atoms:
```
3
Lattice="0.000 3.080 3.080 3.080 0.000 3.080 3.080 3.080 0.000" Properties=species:S:1:pos:R:3 pbc="T T T"
Hf 0.000 0.000 0.000
Ir 4.621 4.621 4.621
Pd 1.540 1.540 1.540
```

Principal peaks in the range 15° ≤ 2θ ≤ 90°, in order of rising 2θ:
2θ = 25.03°, rel. 42; 2θ = 28.99°, rel. 9; 2θ = 41.46°, rel. 100; 2θ = 49.04°, rel. 21; 2θ = 51.38°, rel. 2; 2θ = 60.07°, rel. 17; 2θ = 66.11°, rel. 9; 2θ = 68.06°, rel. 3; 2θ = 75.62°, rel. 34; 2θ = 81.11°, rel. 7